Diffraction record for PrDyAg2Te4. The powder diffractogram is calculated, not measured: it uses a structure optimized by DFT (PBE) and Cu Kα (λ = 1.5418 Å).
Lines closer than 0.1° are merged.

Structural model:
a = 7.556 Å, b = 7.587 Å, c = 8.950 Å
α = 90.00°, β = 90.00°, γ = 90.00°
Space group I222 (No. 23)
Unique sites:
Pr1 0.000 0.000 0.000 (multiplicity 2)
Dy1 0.000 0.000 0.500 (multiplicity 2)
Ag1 0.000 0.500 0.157 (multiplicity 4)
Te1 0.231 0.248 0.328 (multiplicity 8)

Principal peaks in the range 2θ from 10° to 80°, by intensity:
2theta	intensity	index
25.95	100	1 1 2
33.47	82	2 2 0
30.94	47	0 2 2
43.86	32	1 1 4
56.27	29	1 3 4
42.78	26	1 3 2
42.89	24	3 1 2
72.55	16	2 2 6
47.96	15	0 4 0
15.32	15	0 1 1